Structure and simulated powder XRD pattern of Sr4MgMn2Cu2S2O6 (a DFT-relaxed cell (GGA+U, the Materials Project); Cu Kα).

Structure:
```
data_Sr4MgMn2Cu2S2O6
_space_group_name_H-M_alt 'P 1'
_space_group_IT_number 1
_cell_length_a 3.9054
_cell_length_b 3.9175
_cell_length_c 19.5913
_cell_angle_alpha 90.00
_cell_angle_beta 90.00
_cell_angle_gamma 90.00
loop_
_space_group_symop_operation_xyz
'x,y,z'
loop_
_atom_site_label
_atom_site_fract_x
_atom_site_fract_y
_atom_site_fract_z
_atom_site_occupancy
Sr1 0.0000 0.0000 0.0000 1
Sr2 0.0000 0.0000 0.1856 1
Sr3 0.5000 0.5000 0.6508 1
Sr4 0.5000 0.5000 0.8635 1
Mg1 0.5000 0.0000 0.4902 1
Mn1 0.0000 0.0000 0.7628 1
Mn2 0.5000 0.5000 0.0893 1
Cu1 0.0000 0.5000 0.3425 1
Cu2 0.5000 0.0000 0.3310 1
S1 0.0000 0.0000 0.4161 1
S2 0.5000 0.5000 0.2703 1
O1 0.0000 0.0000 0.8665 1
O2 0.0000 0.5000 0.1051 1
O3 0.0000 0.5000 0.7332 1
O4 0.5000 0.0000 0.1052 1
O5 0.5000 0.0000 0.5849 1
O6 0.5000 0.5000 0.9819 1
```

The 8 most intense peaks (10 to 90 degrees two-theta), in order of rising 2θ:
index, two_theta, d [Å], I/Imax
0 1 4, 29.22, 3.056, 45.6
1 0 5, 32.35, 2.767, 100.0
1 1 1, 32.70, 2.739, 42.4
1 1 5, 39.90, 2.260, 32.8
0 2 0, 46.35, 1.959, 25.8
2 0 0, 46.51, 1.953, 25.5
1 1 9, 53.57, 1.711, 17.3
1 2 5, 57.66, 1.599, 25.4